Starting from a DFT-relaxed cell (PBE, the Materials Project), the powder diffraction line list of Na2ZnSi2O6 was simulated for CuKα.
Neutral-atom scattering factors, no anomalous dispersion.

The 10 most intense peaks (10 to 80 degrees two-theta), sorted by position:
| hkl | 2theta | intensity |
| --- | --- | --- |
| 0 1 0 | 17.5 | 28 |
| 0 1 -2 | 21.0 | 90 |
| 1 0 -3 | 26.8 | 15 |
| 2 0 -1 | 34.4 | 100 |
| 1 1 2 | 35.2 | 20 |
| 1 2 -2 | 39.6 | 12 |
| 0 1 -6 | 49.5 | 14 |
| 0 0 6 | 50.6 | 14 |
| -1 3 2 | 61.1 | 24 |
| 2 0 5 | 62.6 | 25 |

Crystal structure
Cell: 5.2204 5.2204 11.4140 Å, 102.61 102.61 92.59°
Space group P1 (No. 1)
Unique sites:
Na 0.0000 0.0000 0.0000
Na 0.0947 0.5941 0.1884
Na 0.3592 0.3748 0.6850
Na 0.7730 0.2749 0.4946
Zn 0.2024 0.1684 0.3396
Zn 0.9488 0.4062 0.8434
Si 0.3420 0.7546 0.5122
Si 0.5315 0.4354 0.0110
Si 0.6016 0.0266 0.1739
Si 0.9239 0.8412 0.6724
O 0.0001 0.7666 0.8048
O 0.1227 0.6936 0.5825
O 0.2038 0.4042 0.0017
O 0.3016 0.5511 0.3798
O 0.3090 0.0093 0.1871
O 0.3634 0.0615 0.4956
O 0.6032 0.3508 0.8766
O 0.6146 0.7011 0.5997
O 0.6629 0.7457 0.0886
O 0.6728 0.2420 0.1017
O 0.8109 0.0710 0.3039
O 0.9502 0.1553 0.6828

---

Starting from a DFT-relaxed cell (PBE, the Materials Project), the powder diffraction line list of Na2ZnSiO4 was simulated for CuKα.
Neutral-atom scattering factors, no anomalous dispersion.

The 10 most intense peaks (10 to 80 degrees two-theta), sorted by position:
| hkl | 2theta | intensity |
| --- | --- | --- |
| 0 1 1 | 20.4 | 79 |
| 1 0 -2 | 20.9 | 90 |
| 0 1 2 | 30.1 | 75 |
| 0 2 0 | 32.3 | 72 |
| 2 0 -2 | 33.6 | 100 |
| 1 1 1 | 34.5 | 82 |
| 1 1 -3 | 34.6 | 81 |
| 1 2 -1 | 36.5 | 35 |
| 0 0 4 | 51.9 | 31 |
| 0 3 2 | 56.2 | 45 |

Crystal structure
Cell: 5.3384 5.5471 8.8191 Å, 90.00 126.99 90.00°
Space group Pc (No. 7)
Unique sites:
Na 0.0000 0.1725 0.0000
Na 0.7488 0.3180 0.2448
Zn 0.2628 0.3117 0.7507
Si 0.5133 0.1883 0.4980
O 0.2400 0.3425 0.3057
O 0.4067 0.0989 0.9706
O 0.5694 0.2916 0.6922
O 0.8470 0.2102 0.5249

---

Starting from a DFT-relaxed cell (PBE, the Materials Project), the powder diffraction line list of Na2ZnSi2O6 was simulated for CuKα.
Neutral-atom scattering factors, no anomalous dispersion.

The 10 most intense peaks (10 to 80 degrees two-theta), sorted by position:
| hkl | 2theta | intensity |
| --- | --- | --- |
| 0 0 2 | 17.7 | 87 |
| 1 1 -1 | 18.8 | 91 |
| 1 1 -2 | 24.1 | 61 |
| 1 1 2 | 25.0 | 61 |
| 0 2 2 | 25.6 | 41 |
| 1 1 -3 | 31.2 | 40 |
| 1 3 0 | 31.3 | 100 |
| 1 1 3 | 32.3 | 49 |
| 1 3 1 | 32.8 | 32 |
| 2 2 -1 | 35.1 | 31 |

Crystal structure
Cell: 6.2446 9.6387 10.0453 Å, 90.00 92.62 90.00°
Space group C2/c (No. 15)
Unique sites:
Na 0.0642 0.1789 0.1038
Zn 0.0000 0.2242 0.7500
Si 0.1511 0.4902 0.1379
O 0.0000 0.4147 0.2500
O 0.0000 0.5000 0.0000
O 0.1534 0.1162 0.8909
O 0.2268 0.3566 0.6889